No. 1
This entry pairs a crystal structure of Er6Tm2Mg with its theoretical X-ray powder pattern. Radiation: a wavelength of 1.5418 Å. Structure: a crystal structure in Alexandria, relaxed with GGA-PBE.
Kinematic intensities with the Lorentz-polarization factor, no thermal factor.

The 10 most intense peaks (2θ = 15–90°), low angle first:
d [Å], 2theta, I (rel.)
3.039, 29.4, 44
2.863, 31.2, 27
2.847, 31.4, 43
2.746, 32.6, 46
2.614, 34.3, 100
2.476, 36.3, 19
2.077, 43.6, 26
1.754, 52.1, 36
1.568, 58.9, 33
1.494, 62.1, 37

```
Er6Tm2Mg
1.0
3.5090 0.0000 0.0000
-1.7545 3.0389 0.0000
0.0000 0.0000 25.6190
Er Tm Mg
6 2 1
Direct
0.0000 0.0000 0.0656
0.0000 0.0000 0.2832
0.0000 0.0000 0.7168
0.0000 0.0000 0.9344
0.3333 0.6667 0.3928
0.3333 0.6667 0.6072
0.3333 0.6667 0.1733
0.3333 0.6667 0.8267
0.0000 0.0000 0.5000
```

No. 2
This entry pairs a crystal structure of NaThSnPb with its theoretical X-ray powder pattern. Radiation: a wavelength of 1.5418 Å. Structure: a crystal structure in Alexandria, relaxed with GGA-PBE.
Kinematic intensities with the Lorentz-polarization factor, no thermal factor.

The 10 most intense peaks (2θ = 15–90°), low angle first:
d [Å], 2theta, I (rel.)
4.455, 19.9, 31
2.728, 32.8, 100
2.326, 38.7, 18
1.929, 47.1, 19
1.770, 51.6, 8
1.575, 58.6, 39
1.485, 62.6, 6
1.364, 68.8, 12
1.304, 72.5, 6
1.220, 78.4, 17

```
NaThSnPb
1.0
0.0000 3.8578 3.8578
3.8578 0.0000 3.8578
3.8578 3.8578 0.0000
Na Th Sn Pb
1 1 1 1
Direct
0.0000 0.0000 0.0000
0.5000 0.5000 0.5000
0.2500 0.2500 0.2500
0.7500 0.7500 0.7500
```

No. 3
This entry pairs a crystal structure of MnNiPSeN with its theoretical X-ray powder pattern. Radiation: a wavelength of 1.5418 Å. Structure: a crystal structure in Alexandria, relaxed with GGA-PBE.
Kinematic intensities with the Lorentz-polarization factor, no thermal factor.

The 10 most intense peaks (2θ = 15–90°), low angle first:
d [Å], 2theta, I (rel.)
3.801, 23.4, 26
2.854, 31.3, 34
2.672, 33.5, 100
2.662, 33.7, 50
2.282, 39.5, 28
1.894, 48.0, 100
1.650, 55.7, 20
1.643, 56.0, 39
1.581, 58.4, 23
1.243, 76.6, 25

```
MnNiPSeN
1.0
2.8421 -1.6500 0.0000
2.8421 1.6500 0.0000
-0.0004 0.0000 7.6019
Mn Ni P Se N
1 1 1 1 1
Direct
0.0000 0.0000 0.0000
0.3327 0.3327 0.4744
0.6669 0.6669 0.3384
0.3332 0.3332 0.7888
0.6664 0.6664 0.1205
```

No. 4
This entry pairs a crystal structure of Zr3Al3C5 with its theoretical X-ray powder pattern. Radiation: a wavelength of 1.5418 Å. Structure: a crystal structure in Alexandria, relaxed with GGA-PBE.
Kinematic intensities with the Lorentz-polarization factor, no thermal factor.

The 10 most intense peaks (2θ = 15–90°), low angle first:
d [Å], 2theta, I (rel.)
2.777, 32.2, 100
2.685, 33.4, 82
2.464, 36.5, 50
2.347, 38.4, 71
2.313, 38.9, 23
2.230, 40.4, 33
2.117, 42.7, 18
1.681, 54.6, 54
1.438, 64.8, 28
1.360, 69.1, 24

```
Zr3Al3C5
1.0
3.3627 0.0000 0.0000
-1.6814 2.9122 0.0000
0.0000 0.0000 27.7527
Zr Al C
6 6 10
Direct
0.0000 0.0000 0.0000
0.0000 0.0000 0.5000
0.3333 0.6667 0.0954
0.3333 0.6667 0.4046
0.6667 0.3333 0.5954
0.6667 0.3333 0.9046
0.0000 0.0000 0.2500
0.0000 0.0000 0.7500
0.3333 0.6667 0.6771
0.3333 0.6667 0.8229
0.6667 0.3333 0.1771
0.6667 0.3333 0.3229
0.0000 0.0000 0.1524
0.0000 0.0000 0.3476
0.0000 0.0000 0.6524
0.0000 0.0000 0.8476
0.3333 0.6667 0.5500
0.3333 0.6667 0.7500
0.3333 0.6667 0.9500
0.6667 0.3333 0.0500
0.6667 0.3333 0.2500
0.6667 0.3333 0.4500
```

No. 5
This entry pairs a crystal structure of Sr3NpN4 with its theoretical X-ray powder pattern. Radiation: a wavelength of 1.5418 Å. Structure: a crystal structure in Alexandria, relaxed with GGA-PBE.
Kinematic intensities with the Lorentz-polarization factor, no thermal factor.

The 10 most intense peaks (2θ = 15–90°), low angle first:
d [Å], 2theta, I (rel.)
4.961, 17.9, 31
4.110, 21.6, 32
3.165, 28.2, 100
3.111, 28.7, 31
2.508, 35.8, 47
2.481, 36.2, 53
2.055, 44.1, 36
2.011, 45.1, 24
1.654, 55.6, 19
1.477, 62.9, 16

```
Sr3NpN4
1.0
4.1098 2.3728 2.3062
-4.1098 2.3728 2.3062
0.0000 -4.7456 2.3062
Sr Np N
3 1 4
Direct
0.0481 0.4760 0.4760
0.4760 0.0481 0.4760
0.4760 0.4760 0.0481
0.9065 0.9065 0.9065
0.3120 0.9439 0.9439
0.5826 0.5826 0.5826
0.9439 0.3120 0.9439
0.9439 0.9439 0.3120
```

No. 6
This entry pairs a crystal structure of AcPrPa2O8 with its theoretical X-ray powder pattern. Radiation: a wavelength of 1.5418 Å. Structure: a crystal structure in Alexandria, relaxed with GGA-PBE.
Kinematic intensities with the Lorentz-polarization factor, no thermal factor.

The 10 most intense peaks (2θ = 15–90°), low angle first:
d [Å], 2theta, I (rel.)
3.220, 27.7, 100
2.811, 31.8, 24
2.745, 32.6, 11
1.988, 45.6, 17
1.964, 46.2, 33
1.691, 54.2, 32
1.662, 55.3, 15
1.610, 57.2, 11
1.275, 74.4, 13
1.143, 84.8, 11

```
AcPrPa2O8
1.0
-2.8109 2.8109 5.4901
2.8109 -2.8109 5.4901
2.8109 2.8109 -5.4901
Ac Pr Pa O
1 1 2 8
Direct
0.0000 0.0000 0.0000
0.2500 0.7500 0.5000
0.5000 0.5000 0.0000
0.7500 0.2500 0.5000
0.1267 0.1493 0.5297
0.1267 0.5970 0.9775
0.4030 0.3804 0.5297
0.4030 0.8733 0.0225
0.6196 0.1493 0.0225
0.6196 0.5970 0.4703
0.8507 0.3804 0.9775
0.8507 0.8733 0.4703
```

No. 7
This entry pairs a crystal structure of Ca3Pr3Si4 with its theoretical X-ray powder pattern. Radiation: a wavelength of 1.5418 Å. Structure: a crystal structure in Alexandria, relaxed with GGA-PBE.
Kinematic intensities with the Lorentz-polarization factor, no thermal factor.

The 10 most intense peaks (2θ = 15–90°), low angle first:
d [Å], 2theta, I (rel.)
4.430, 20.0, 17
3.456, 25.8, 38
2.913, 30.7, 55
2.725, 32.9, 100
2.445, 36.8, 25
2.215, 40.7, 18
1.875, 48.6, 18
1.727, 53.0, 24
1.642, 56.0, 14
1.431, 65.2, 15

```
Ca3Pr3Si4
1.0
4.4298 0.0000 0.0000
0.0000 5.4559 5.4773
0.0000 -5.4559 5.4773
Ca Pr Si
3 3 4
Direct
0.0000 0.0000 0.0000
0.5000 0.3193 0.8244
0.5000 0.8244 0.3193
0.0000 0.1450 0.5005
0.0000 0.5005 0.1450
0.0000 0.6461 0.6461
0.5000 0.2142 0.2142
0.5000 0.4347 0.4347
0.5000 0.7087 0.9318
0.5000 0.9318 0.7087
```

No. 8
This entry pairs a crystal structure of Y13Co2 with its theoretical X-ray powder pattern. Radiation: a wavelength of 1.5418 Å. Structure: a crystal structure in Alexandria, relaxed with GGA-PBE.
Kinematic intensities with the Lorentz-polarization factor, no thermal factor.

The 10 most intense peaks (2θ = 15–90°), low angle first:
d [Å], 2theta, I (rel.)
2.997, 29.8, 100
2.987, 29.9, 99
2.615, 34.3, 52
2.580, 34.8, 100
1.840, 49.6, 35
1.835, 49.7, 17
1.832, 49.8, 17
1.824, 50.0, 34
1.559, 59.3, 33
1.555, 59.4, 19

```
Y13Co2
1.0
6.3432 0.0000 0.0000
1.0484 8.0931 0.0000
0.9300 3.9913 8.8142
Y Co
13 2
Direct
0.0000 0.0000 0.0000
0.0642 0.8386 0.6882
0.1648 0.6825 0.3870
0.2253 0.5461 0.0702
0.3105 0.3875 0.7716
0.4002 0.2309 0.4495
0.4532 0.0818 0.1492
0.5468 0.9182 0.8508
0.5998 0.7691 0.5505
0.6895 0.6125 0.2284
0.7747 0.4539 0.9298
0.8352 0.3175 0.6130
0.9358 0.1614 0.3118
0.1965 0.1163 0.7195
0.8035 0.8837 0.2805
```

No. 9
This entry pairs a crystal structure of LaPm5Y2Ho with its theoretical X-ray powder pattern. Radiation: a wavelength of 1.5418 Å. Structure: a crystal structure in Alexandria, relaxed with GGA-PBE.
Kinematic intensities with the Lorentz-polarization factor, no thermal factor.

The 10 most intense peaks (2θ = 15–90°), low angle first:
d [Å], 2theta, I (rel.)
3.213, 27.8, 23
2.991, 29.9, 42
2.867, 31.2, 41
2.810, 31.8, 100
2.669, 33.6, 13
2.139, 42.2, 15
1.804, 50.6, 11
1.644, 55.9, 20
1.570, 58.8, 14
1.527, 60.7, 13

```
LaPm5Y2Ho
1.0
2.8674 -10.1078 0.0000
2.8674 10.1078 0.0000
0.0000 0.0000 10.6766
La Pm Y Ho
2 10 4 2
Direct
0.0838 0.9162 0.5000
0.9162 0.0838 0.0000
0.0195 0.9805 0.7876
0.1133 0.8867 0.0699
0.2036 0.7964 0.7524
0.2185 0.7815 0.3602
0.4817 0.5183 0.0705
0.5183 0.4817 0.5705
0.7815 0.2185 0.8602
0.7964 0.2036 0.2524
0.8867 0.1133 0.5699
0.9805 0.0195 0.2876
0.3844 0.6156 0.3672
0.3870 0.6130 0.7790
0.6130 0.3870 0.2790
0.6156 0.3844 0.8672
0.2989 0.7011 0.0572
0.7011 0.2989 0.5572
```

Question: What is the formula in the first record?
Answer: Er6Tm2Mg

Copy entry 8 word for word.
This entry pairs a crystal structure of Y13Co2 with its theoretical X-ray powder pattern. Radiation: a wavelength of 1.5418 Å. Structure: a crystal structure in Alexandria, relaxed with GGA-PBE.
Kinematic intensities with the Lorentz-polarization factor, no thermal factor.

The 10 most intense peaks (2θ = 15–90°), low angle first:
d [Å], 2theta, I (rel.)
2.997, 29.8, 100
2.987, 29.9, 99
2.615, 34.3, 52
2.580, 34.8, 100
1.840, 49.6, 35
1.835, 49.7, 17
1.832, 49.8, 17
1.824, 50.0, 34
1.559, 59.3, 33
1.555, 59.4, 19

```
Y13Co2
1.0
6.3432 0.0000 0.0000
1.0484 8.0931 0.0000
0.9300 3.9913 8.8142
Y Co
13 2
Direct
0.0000 0.0000 0.0000
0.0642 0.8386 0.6882
0.1648 0.6825 0.3870
0.2253 0.5461 0.0702
0.3105 0.3875 0.7716
0.4002 0.2309 0.4495
0.4532 0.0818 0.1492
0.5468 0.9182 0.8508
0.5998 0.7691 0.5505
0.6895 0.6125 0.2284
0.7747 0.4539 0.9298
0.8352 0.3175 0.6130
0.9358 0.1614 0.3118
0.1965 0.1163 0.7195
0.8035 0.8837 0.2805
```